# 1
ZnInCl2: simulated powder diffraction line list (CuKα), based on a cell relaxed with PBE.

```
data_ZnInCl2
_chemical_formula_sum 'Zn2 In2 Cl4'
_cell_length_a 3.4273
_cell_length_b 6.5431
_cell_length_c 9.8398
_cell_angle_alpha 90.00
_cell_angle_beta 90.00
_cell_angle_gamma 90.00
_symmetry_space_group_name_H-M 'C m m m'
_symmetry_Int_Tables_number 65
_symmetry_space_group_name_Hall '-C 2 2'
loop_
_atom_site_label
_atom_site_fract_x
_atom_site_fract_y
_atom_site_fract_z
Zn1 0.0000 0.0000 0.0000
In1 0.0000 0.0000 0.5000
Cl1 0.0000 0.5000 0.1676
```

Most intense lines, 2θ = 10–90°, in order of falling intensity:
hkl  d_spacing  two_theta  intensity
1 1 2  2.584  34.72  100
0 2 0  3.273  27.25  78
0 0 2  4.920  18.03  56
1 1 4  1.911  47.58  39
1 3 2  1.723  53.14  28
0 2 2  2.724  32.88  26
1 1 0  3.036  29.42  20
1 1 1  2.901  30.82  18
1 3 4  1.473  63.10  16
2 2 0  1.518  61.03  14

---

# 2
ZrIn2Cl7: simulated powder diffraction line list (CuKα), based on a cell relaxed with PBE.

```
data_ZrIn2Cl7
_chemical_formula_sum 'Zr4 In8 Cl28'
_cell_length_a 16.1961
_cell_length_b 10.2261
_cell_length_c 11.2003
_cell_angle_alpha 90.00
_cell_angle_beta 132.45
_cell_angle_gamma 90.00
_symmetry_space_group_name_H-M 'C 1 2/c 1'
_symmetry_Int_Tables_number 15
_symmetry_space_group_name_Hall '-C 2yc'
loop_
_atom_site_label
_atom_site_fract_x
_atom_site_fract_y
_atom_site_fract_z
Zr1 0.0000 0.0468 0.2500
In1 0.1982 0.4487 0.5523
Cl1 0.0000 0.4763 0.2500
Cl2 0.0837 0.1501 0.1529
Cl3 0.1301 0.1377 0.8366
Cl4 0.1754 0.1367 0.5248
```

Most intense lines, 2θ = 10–90°, in order of falling intensity:
hkl  d_spacing  two_theta  intensity
1 1 -2  4.574  19.41  100
2 0 -2  5.599  15.83  76
0 2 0  5.113  17.34  72
1 1 -1  7.551  11.72  64
1 3 -1  3.261  27.35  45
2 0 2  2.661  33.68  39
3 1 -2  4.511  19.68  38
1 1 0  7.770  11.39  37
6 0 -4  2.513  35.72  33
4 2 -2  3.170  28.15  30

---

# 3
Ir3Cl: simulated powder diffraction line list (CuKα), based on a cell relaxed with PBE.

```
data_Ir3Cl
_chemical_formula_sum 'Ir3 Cl1'
_cell_length_a 2.8115
_cell_length_b 3.5885
_cell_length_c 6.5532
_cell_angle_alpha 90.00
_cell_angle_beta 90.00
_cell_angle_gamma 90.00
_symmetry_space_group_name_H-M 'P m m m'
_symmetry_Int_Tables_number 47
_symmetry_space_group_name_Hall '-P 2 2'
loop_
_atom_site_label
_atom_site_fract_x
_atom_site_fract_y
_atom_site_fract_z
Ir1 0.0000 0.0000 0.0000
Ir2 0.5000 0.5000 0.2060
Cl1 0.5000 0.0000 0.5000
```

Most intense lines, 2θ = 10–90°, in order of falling intensity:
hkl  d_spacing  two_theta  intensity
0 0 1  6.553  13.51  100
0 1 2  2.420  37.16  83
1 1 0  2.213  40.77  61
1 0 2  2.134  42.36  44
1 1 1  2.097  43.14  39
1 0 3  1.725  53.09  25
1 2 2  1.373  68.29  25
0 1 3  1.866  48.81  24
0 2 0  1.794  50.89  21
2 1 2  1.216  78.73  19

---

# 4
Ir3Cl: simulated powder diffraction line list (CuKα), based on a cell relaxed with PBE.

```
data_Ir3Cl
_chemical_formula_sum 'Ir6 Cl2'
_cell_length_a 3.4126
_cell_length_b 5.1522
_cell_length_c 10.7259
_cell_angle_alpha 90.00
_cell_angle_beta 90.00
_cell_angle_gamma 90.00
_symmetry_space_group_name_H-M 'P m m n'
_symmetry_Int_Tables_number 59
loop_
_symmetry_equiv_pos_as_xyz
'x,y,z'
'-x,-y,-z'
'-x+1/2,-y+1/2,z'
'x+1/2,y+1/2,-z'
'x+1/2,-y,-z'
'-x+1/2,y,z'
'-x,y+1/2,-z'
'x,-y+1/2,z'
loop_
_atom_site_label
_atom_site_fract_x
_atom_site_fract_y
_atom_site_fract_z
Ir1 0.2500 0.0087 0.0847
Ir2 0.2500 0.2500 0.7798
Cl1 0.2500 0.7500 0.3767
```

Most intense lines, 2θ = 10–90°, in order of falling intensity:
hkl  d_spacing  two_theta  intensity
1 0 3  2.469  36.40  100
0 1 1  4.644  19.11  64
1 2 2  1.920  47.35  56
1 2 1  2.019  44.89  44
1 0 4  2.108  42.89  40
0 2 2  2.322  38.78  34
0 2 1  2.505  35.85  32
0 2 5  1.648  55.77  24
1 0 2  2.879  31.06  24
2 0 0  1.706  53.72  19

---

# 5
K3IrCl6: simulated powder diffraction line list (CuKα), based on a cell relaxed with PBE.

```
data_K3IrCl6
_chemical_formula_sum 'K12 Ir4 Cl24'
_cell_length_a 12.7235
_cell_length_b 7.6149
_cell_length_c 12.1151
_cell_angle_alpha 90.00
_cell_angle_beta 108.06
_cell_angle_gamma 90.00
_symmetry_space_group_name_H-M 'P 1 21/c 1'
_symmetry_Int_Tables_number 14
_symmetry_space_group_name_Hall '-P 2ybc'
loop_
_atom_site_label
_atom_site_fract_x
_atom_site_fract_y
_atom_site_fract_z
K1 0.0940 0.0552 0.3537
K2 0.3182 0.0689 0.1145
K3 0.3187 0.5757 0.2675
Ir1 0.0000 0.0000 0.0000
Ir2 0.5000 0.0000 0.5000
Cl1 0.0881 0.2408 0.5972
Cl2 0.1184 0.0036 0.8821
Cl3 0.1244 0.6785 0.6426
Cl4 0.3539 0.6917 0.0050
Cl5 0.3619 0.2047 0.3994
Cl6 0.4988 0.1259 0.6792
```

Most intense lines, 2θ = 10–90°, in order of falling intensity:
hkl  d_spacing  two_theta  intensity
1 1 -1  6.062  14.61  100
1 1 1  5.265  16.84  49
1 1 -3  3.568  24.96  29
2 2 2  2.633  34.05  27
3 1 -1  3.703  24.03  24
0 0 2  5.759  15.39  22
2 0 -2  5.020  17.67  17
3 1 1  3.171  28.14  15
4 2 2  2.026  44.74  12
4 2 -2  2.403  37.42  12

---

# 6
KIrCl4: simulated powder diffraction line list (CuKα), based on a cell relaxed with PBE.

```
data_KIrCl4
_chemical_formula_sum 'K4 Ir4 Cl16'
_cell_length_a 9.0741
_cell_length_b 14.6658
_cell_length_c 6.2739
_cell_angle_alpha 90.00
_cell_angle_beta 102.88
_cell_angle_gamma 90.00
_symmetry_space_group_name_H-M 'C 1 2/c 1'
_symmetry_Int_Tables_number 15
_symmetry_space_group_name_Hall '-C 2yc'
loop_
_atom_site_label
_atom_site_fract_x
_atom_site_fract_y
_atom_site_fract_z
K1 0.0000 0.2267 0.2500
Ir1 0.0000 0.4417 0.7500
Cl1 0.1444 0.4445 0.1168
Cl2 0.1594 0.3275 0.6632
```

Most intense lines, 2θ = 10–90°, in order of falling intensity:
hkl  d_spacing  two_theta  intensity
1 1 0  7.575  11.68  100
1 3 -1  3.698  24.06  16
0 2 1  4.697  18.89  16
2 4 -1  2.714  33.00  13
0 2 0  7.333  12.07  11
1 1 2  2.664  33.64  9
3 3 -1  2.509  35.79  9
2 0 0  4.423  20.08  9
0 0 2  3.058  29.20  7
2 0 2  2.288  39.38  6